No. 1
Diffraction record for ReCl3O. The powder X-ray diffraction pattern is theoretical, not measured: it uses the GGA-PBE geometry in OQMD and Cu Kα (λ = 1.5418 Å).

Most intense lines, 2θ = 15–90°, in order of rising 2θ:
2theta, d (Å), I/Imax
20.48, 4.337, 43.5
20.60, 4.312, 21.5
29.18, 3.061, 93.4
35.94, 2.499, 100.0
41.65, 2.168, 40.7
41.90, 2.156, 20.0
46.87, 1.938, 23.5
51.68, 1.769, 26.4
60.56, 1.529, 25.5
72.30, 1.307, 25.0

Cell and atoms:
a = 4.337 Å, b = 4.337 Å, c = 4.312 Å
α = 90.00°, β = 90.00°, γ = 90.00°
Sites, in units of the cell vectors:
Re (0.000, 0.000, 0.000)
Cl (0.000, 0.500, 0.500)
Cl (0.500, 0.000, 0.500)
Cl (0.500, 0.500, 0.000)
O (0.500, 0.500, 0.500)

***

No. 2
Diffraction record for TmReClO4. The powder X-ray diffraction pattern is theoretical, not measured: it uses the GGA-PBE geometry in OQMD and Cu Kα (λ = 1.5418 Å).

Most intense lines, 2θ = 15–90°, in order of rising 2θ:
2theta, d (Å), I/Imax
19.27, 4.605, 24.6
24.85, 3.583, 100.0
28.56, 3.126, 87.7
30.82, 2.901, 55.6
31.36, 2.852, 54.9
33.14, 2.703, 28.9
34.69, 2.586, 31.1
44.55, 2.034, 39.8
48.74, 1.868, 21.1
55.47, 1.657, 22.7

Cell and atoms:
a = 5.704 Å, b = 9.210 Å, c = 3.736 Å
α = 90.00°, β = 90.00°, γ = 90.00°
Sites, in units of the cell vectors:
Tm (0.000, 0.198, 0.000)
Tm (0.500, 0.802, 0.500)
Re (0.000, 0.634, 0.999)
Re (0.500, 0.366, 0.499)
Cl (0.000, 0.973, 0.501)
Cl (0.500, 0.027, 0.001)
O (0.000, 0.440, 0.999)
O (0.000, 0.638, 0.499)
O (0.225, 0.258, 0.499)
O (0.275, 0.742, 0.999)
O (0.500, 0.362, 0.999)
O (0.500, 0.560, 0.499)
O (0.725, 0.742, 0.999)
O (0.775, 0.258, 0.499)

***

No. 3
Diffraction record for TaSCl7O. The powder X-ray diffraction pattern is theoretical, not measured: it uses the GGA-PBE geometry in OQMD and Cu Kα (λ = 1.5418 Å).

Most intense lines, 2θ = 15–90°, in order of rising 2θ:
2theta, d (Å), I/Imax
16.34, 5.426, 100.0
19.11, 4.645, 29.1
20.09, 4.421, 17.2
21.32, 4.167, 31.5
22.27, 3.992, 22.3
23.32, 3.814, 14.9
30.80, 2.903, 25.0
31.02, 2.883, 21.8
32.62, 2.745, 30.9
39.68, 2.272, 17.2

Cell and atoms:
a = 16.668 Å, b = 9.289 Å, c = 7.298 Å
α = 90.00°, β = 90.00°, γ = 90.00°
Sites, in units of the cell vectors:
Ta (0.134, 0.250, 0.001)
Ta (0.366, 0.750, 0.501)
Ta (0.634, 0.250, 0.499)
Ta (0.866, 0.750, 0.999)
S (0.158, 0.750, 0.327)
S (0.342, 0.250, 0.827)
S (0.658, 0.750, 0.173)
S (0.842, 0.250, 0.673)
Cl (0.018, 0.250, 0.159)
Cl (0.078, 0.250, 0.705)
Cl (0.120, 0.580, 0.486)
Cl (0.120, 0.920, 0.486)
Cl (0.148, 0.000, 0.978)
Cl (0.148, 0.500, 0.978)
Cl (0.218, 0.250, 0.255)
Cl (0.282, 0.750, 0.755)
Cl (0.352, 0.000, 0.478)
Cl (0.352, 0.500, 0.478)
Cl (0.380, 0.080, 0.986)
Cl (0.380, 0.420, 0.986)
Cl (0.422, 0.750, 0.205)
Cl (0.482, 0.750, 0.659)
Cl (0.518, 0.250, 0.341)
Cl (0.578, 0.250, 0.795)
Cl (0.620, 0.580, 0.014)
Cl (0.620, 0.920, 0.014)
Cl (0.648, 0.000, 0.522)
Cl (0.648, 0.500, 0.522)
Cl (0.718, 0.250, 0.245)
Cl (0.782, 0.750, 0.745)
Cl (0.852, 0.000, 0.022)
Cl (0.852, 0.500, 0.022)
Cl (0.880, 0.080, 0.514)
Cl (0.880, 0.420, 0.514)
Cl (0.922, 0.750, 0.295)
Cl (0.982, 0.750, 0.841)
O (0.247, 0.750, 0.333)
O (0.253, 0.250, 0.833)
O (0.747, 0.750, 0.167)
O (0.753, 0.250, 0.667)

***

No. 4
Diffraction record for ZrSCl6O. The powder X-ray diffraction pattern is theoretical, not measured: it uses the GGA-PBE geometry in OQMD and Cu Kα (λ = 1.5418 Å).

Most intense lines, 2θ = 15–90°, in order of rising 2θ:
2theta, d (Å), I/Imax
15.04, 5.890, 42.2
15.36, 5.770, 84.8
16.69, 5.312, 72.9
17.41, 5.094, 87.4
23.10, 3.850, 40.5
24.05, 3.700, 100.0
30.04, 2.975, 38.8
30.73, 2.910, 43.6
32.15, 2.784, 53.1
33.53, 2.673, 64.1

Cell and atoms:
a = 7.304 Å, b = 23.561 Å, c = 6.940 Å
α = 90.00°, β = 113.59°, γ = 90.00°
Sites, in units of the cell vectors:
Zr (0.154, 0.072, 0.010)
Zr (0.154, 0.428, 0.510)
Zr (0.846, 0.572, 0.490)
Zr (0.846, 0.928, 0.990)
S (0.331, 0.630, 0.882)
S (0.331, 0.870, 0.382)
S (0.669, 0.130, 0.618)
S (0.669, 0.370, 0.118)
Cl (0.045, 0.523, 0.298)
Cl (0.045, 0.977, 0.798)
Cl (0.165, 0.159, 0.188)
Cl (0.165, 0.341, 0.688)
Cl (0.220, 0.657, 0.097)
Cl (0.220, 0.843, 0.597)
Cl (0.264, 0.105, 0.750)
Cl (0.264, 0.395, 0.250)
Cl (0.340, 0.708, 0.746)
Cl (0.340, 0.792, 0.246)
Cl (0.459, 0.032, 0.246)
Cl (0.459, 0.468, 0.746)
Cl (0.541, 0.532, 0.254)
Cl (0.541, 0.968, 0.754)
Cl (0.660, 0.208, 0.754)
Cl (0.660, 0.292, 0.254)
Cl (0.736, 0.605, 0.750)
Cl (0.736, 0.895, 0.250)
Cl (0.780, 0.157, 0.403)
Cl (0.780, 0.343, 0.903)
Cl (0.835, 0.659, 0.312)
Cl (0.835, 0.841, 0.812)
Cl (0.955, 0.023, 0.202)
Cl (0.955, 0.477, 0.702)
O (0.170, 0.597, 0.722)
O (0.170, 0.903, 0.222)
O (0.830, 0.097, 0.778)
O (0.830, 0.403, 0.278)

***

No. 5
Diffraction record for ZnSb2Cl2O3. The powder X-ray diffraction pattern is theoretical, not measured: it uses the GGA-PBE geometry in OQMD and Cu Kα (λ = 1.5418 Å).

Most intense lines, 2θ = 15–90°, in order of rising 2θ:
2theta, d (Å), I/Imax
17.31, 5.123, 27.3
21.75, 4.086, 12.9
23.54, 3.779, 32.6
26.28, 3.392, 11.8
29.71, 3.007, 100.0
31.19, 2.868, 12.2
31.99, 2.798, 39.2
32.74, 2.735, 16.8
45.28, 2.003, 14.7
55.60, 1.653, 16.8

Cell and atoms:
a = 17.206 Å, b = 5.596 Å, c = 6.376 Å
α = 90.00°, β = 90.00°, γ = 90.00°
Sites, in units of the cell vectors:
Zn (0.089, 0.250, 0.019)
Zn (0.411, 0.750, 0.519)
Zn (0.589, 0.250, 0.481)
Zn (0.911, 0.750, 0.981)
Sb (0.114, 0.750, 0.672)
Sb (0.240, 0.250, 0.740)
Sb (0.260, 0.750, 0.240)
Sb (0.386, 0.250, 0.172)
Sb (0.614, 0.750, 0.828)
Sb (0.740, 0.250, 0.760)
Sb (0.760, 0.750, 0.260)
Sb (0.886, 0.250, 0.328)
Cl (0.030, 0.750, 0.133)
Cl (0.117, 0.250, 0.365)
Cl (0.383, 0.750, 0.865)
Cl (0.470, 0.250, 0.633)
Cl (0.530, 0.750, 0.367)
Cl (0.617, 0.250, 0.135)
Cl (0.883, 0.750, 0.635)
Cl (0.970, 0.250, 0.867)
O (0.158, 0.016, 0.852)
O (0.158, 0.484, 0.852)
O (0.216, 0.750, 0.527)
O (0.284, 0.250, 0.027)
O (0.342, 0.516, 0.352)
O (0.342, 0.984, 0.352)
O (0.658, 0.016, 0.648)
O (0.658, 0.484, 0.648)
O (0.716, 0.750, 0.973)
O (0.784, 0.250, 0.473)
O (0.842, 0.516, 0.148)
O (0.842, 0.984, 0.148)

***

No. 6
Diffraction record for Tm3Se2Cl2O6. The powder X-ray diffraction pattern is theoretical, not measured: it uses the GGA-PBE geometry in OQMD and Cu Kα (λ = 1.5418 Å).

Most intense lines, 2θ = 15–90°, in order of rising 2θ:
2theta, d (Å), I/Imax
19.20, 4.623, 65.8
26.06, 3.419, 77.5
28.00, 3.187, 38.4
28.23, 3.161, 43.0
32.62, 2.745, 100.0
38.80, 2.321, 25.3
40.58, 2.223, 21.7
46.63, 1.948, 20.1
47.20, 1.925, 23.6
50.31, 1.814, 27.0

Cell and atoms:
a = 6.189 Å, b = 6.189 Å, c = 7.243 Å
α = 111.71°, β = 111.71°, γ = 67.07°
Sites, in units of the cell vectors:
Tm (0.000, 0.000, 0.000)
Tm (0.470, 0.470, 0.199)
Tm (0.530, 0.530, 0.801)
Se (0.117, 0.117, 0.656)
Se (0.883, 0.883, 0.344)
Cl (0.270, 0.270, 0.352)
Cl (0.730, 0.730, 0.648)
O (0.117, 0.755, 0.199)
O (0.245, 0.883, 0.801)
O (0.360, 0.360, 0.884)
O (0.640, 0.640, 0.116)
O (0.755, 0.117, 0.199)
O (0.883, 0.245, 0.801)